This entry pairs a crystal structure of Li3FeP2O8 with its calculated PXRD pattern. Radiation: Cu Kα, 1.54184 Å. Structure: a crystal structure in Alexandria, relaxed with PBE+U.

Largest 10 diffraction maxima, most intense first, 2θ = 10–80°:
(hkl)	two_theta	intensity
1 2 0	24.34	100
0 1 1	14.74	91
0 4 2	34.57	67
1 6 -1	35.24	55
1 2 -2	25.44	52
0 3 1	20.41	37
1 1 -2	23.90	31
1 3 0	26.81	29
1 2 1	34.14	20
0 8 2	49.89	20

a b c (Å): 4.9436 17.8378 7.8668
angles (deg): 90.00 125.78 90.00
Sites, in units of the cell vectors:
Li 0.0016 0.0585 0.2160
Li 0.0016 0.4415 0.7160
Li 0.2797 0.1158 0.9970
Li 0.2797 0.3842 0.4970
Li 0.3656 0.6995 0.6853
Li 0.3656 0.8005 0.1853
Li 0.6344 0.1995 0.8147
Li 0.6344 0.3005 0.3147
Li 0.7203 0.6158 0.5030
Li 0.7203 0.8842 0.0030
Li 0.9984 0.5585 0.2840
Li 0.9984 0.9415 0.7840
Fe 0.1771 0.6270 0.9838
Fe 0.1771 0.8730 0.4838
Fe 0.8229 0.1270 0.5162
Fe 0.8229 0.3730 0.0162
P 0.1234 0.2157 0.2910
P 0.1234 0.2843 0.7910
P 0.4860 0.5356 0.7688
P 0.4860 0.9644 0.2688
P 0.5140 0.0356 0.7312
P 0.5140 0.4644 0.2312
P 0.8766 0.7157 0.2090
P 0.8766 0.7843 0.7090
O 0.0470 0.1731 0.0998
O 0.0470 0.3269 0.5998
O 0.1534 0.1975 0.7683
O 0.1534 0.3025 0.2683
O 0.1548 0.6989 0.1768
O 0.1548 0.8011 0.6768
O 0.1821 0.5602 0.7720
O 0.1821 0.9398 0.2720
O 0.1829 0.0671 0.5353
O 0.1829 0.4329 0.0353
O 0.4288 0.5641 0.5684
O 0.4288 0.9359 0.0684
O 0.4700 0.1918 0.4909
O 0.4700 0.3082 0.9909
O 0.4887 0.0526 0.2768
O 0.4887 0.4474 0.7768
O 0.5113 0.5526 0.2232
O 0.5113 0.9474 0.7232
O 0.5300 0.6918 0.0091
O 0.5300 0.8082 0.5091
O 0.5712 0.0641 0.9316
O 0.5712 0.4359 0.4316
O 0.8171 0.5671 0.9647
O 0.8171 0.9329 0.4647
O 0.8179 0.0602 0.7280
O 0.8179 0.4398 0.2280
O 0.8452 0.1989 0.3232
O 0.8452 0.3011 0.8232
O 0.8466 0.6975 0.7317
O 0.8466 0.8025 0.2317
O 0.9530 0.6731 0.4002
O 0.9530 0.8269 0.9002